No. 1
Computed powder X-ray diffraction pattern of NaPmAs for Cu Kα X-rays, from a DFT-relaxed cell (PBE, Alexandria).

Principal peaks in the range 2θ from 10° to 90°, in order of falling intensity:
2theta, d [Å], I (rel.)
36.16, 2.484, 100
35.97, 2.497, 83
20.96, 4.237, 61
10.82, 8.176, 57
49.66, 1.836, 39
25.29, 3.522, 34
27.58, 3.234, 30
51.93, 1.761, 29

```
data_NaPmAs
_cell_length_a 8.597
_cell_length_b 4.972
_cell_length_c 8.666
_cell_angle_alpha 90.00
_cell_angle_beta 109.36
_cell_angle_gamma 90.00
_symmetry_space_group_name_H-M 'P 1'
_symmetry_Int_Tables_number 1
_symmetry_space_group_name_Hall 'P 1'
loop_
_atom_site_label
_atom_site_type_symbol
_atom_site_fract_x
_atom_site_fract_y
_atom_site_fract_z
Na1 Na 0.136 0.000 0.409
Na2 Na 0.364 0.500 0.591
Na3 Na 0.636 0.500 0.409
Na4 Na 0.864 0.000 0.591
Pm1 Pm 0.117 0.500 0.850
Pm2 Pm 0.383 0.000 0.150
Pm3 Pm 0.617 0.000 0.850
Pm4 Pm 0.883 0.500 0.150
As1 As 0.241 0.500 0.224
As2 As 0.259 0.000 0.776
As3 As 0.741 0.000 0.224
As4 As 0.759 0.500 0.776
```

No. 2
Computed powder X-ray diffraction pattern of Na3As3Pt2 for Cu Kα X-rays, from a DFT-relaxed cell (PBE, Alexandria).

Principal peaks in the range 2θ from 10° to 90°, in order of falling intensity:
2theta, d [Å], I (rel.)
16.83, 5.266, 100
22.95, 3.876, 85
41.64, 2.169, 73
25.24, 3.529, 58
12.41, 7.130, 50
50.19, 1.818, 48
29.06, 3.073, 45
41.44, 2.179, 43

```
data_Na3As3Pt2
_cell_length_a 5.700
_cell_length_b 5.700
_cell_length_c 14.261
_cell_angle_alpha 90.00
_cell_angle_beta 90.00
_cell_angle_gamma 135.04
_symmetry_space_group_name_H-M 'P 1'
_symmetry_Int_Tables_number 1
_symmetry_space_group_name_Hall 'P 1'
loop_
_atom_site_label
_atom_site_type_symbol
_atom_site_fract_x
_atom_site_fract_y
_atom_site_fract_z
Na1 Na 0.083 0.917 0.621
Na2 Na 0.083 0.917 0.879
Na3 Na 0.380 0.620 0.750
Na4 Na 0.620 0.380 0.250
Na5 Na 0.917 0.083 0.121
Na6 Na 0.917 0.083 0.379
As1 As 0.321 0.679 0.250
As2 As 0.376 0.624 0.532
As3 As 0.376 0.624 0.968
As4 As 0.624 0.376 0.032
As5 As 0.624 0.376 0.468
As6 As 0.679 0.321 0.750
Pt1 Pt 0.204 0.796 0.098
Pt2 Pt 0.204 0.796 0.402
Pt3 Pt 0.796 0.204 0.598
Pt4 Pt 0.796 0.204 0.902
```

No. 3
Computed powder X-ray diffraction pattern of NaAsPt for Cu Kα X-rays, from a DFT-relaxed cell (PBE, Alexandria).

Principal peaks in the range 2θ from 10° to 90°, in order of falling intensity:
2theta, d [Å], I (rel.)
19.27, 4.606, 100
33.70, 2.659, 61
30.69, 2.913, 59
52.57, 1.741, 47
23.66, 3.761, 42
41.59, 2.171, 31
58.41, 1.580, 29
43.96, 2.060, 28

```
data_NaAsPt
_cell_length_a 6.514
_cell_length_b 6.514
_cell_length_c 6.514
_cell_angle_alpha 90.00
_cell_angle_beta 90.00
_cell_angle_gamma 90.00
_symmetry_space_group_name_H-M 'P 1'
_symmetry_Int_Tables_number 1
_symmetry_space_group_name_Hall 'P 1'
loop_
_atom_site_label
_atom_site_type_symbol
_atom_site_fract_x
_atom_site_fract_y
_atom_site_fract_z
Na1 Na 0.119 0.119 0.119
Na2 Na 0.381 0.881 0.619
Na3 Na 0.619 0.381 0.881
Na4 Na 0.881 0.619 0.381
As1 As 0.068 0.568 0.932
As2 As 0.432 0.432 0.432
As3 As 0.568 0.932 0.068
As4 As 0.932 0.068 0.568
Pt1 Pt 0.160 0.340 0.660
Pt2 Pt 0.340 0.660 0.160
Pt3 Pt 0.660 0.160 0.340
Pt4 Pt 0.840 0.840 0.840
```

No. 4
Computed powder X-ray diffraction pattern of Na2PuAs2Pt for Cu Kα X-rays, from a DFT-relaxed cell (PBE, Alexandria).

Principal peaks in the range 2θ from 10° to 90°, in order of falling intensity:
2theta, d [Å], I (rel.)
33.04, 2.711, 100
41.95, 2.154, 85
31.78, 2.816, 80
17.69, 5.014, 63
26.67, 3.343, 48
45.55, 1.991, 42
48.62, 1.873, 41
35.81, 2.507, 35

```
data_Na2PuAs2Pt
_cell_length_a 3.983
_cell_length_b 3.983
_cell_length_c 20.058
_cell_angle_alpha 90.00
_cell_angle_beta 90.00
_cell_angle_gamma 90.00
_symmetry_space_group_name_H-M 'P 1'
_symmetry_Int_Tables_number 1
_symmetry_space_group_name_Hall 'P 1'
loop_
_atom_site_label
_atom_site_type_symbol
_atom_site_fract_x
_atom_site_fract_y
_atom_site_fract_z
Na1 Na 0.000 0.500 0.250
Na2 Na 0.000 0.500 0.750
Na3 Na 0.500 0.000 0.250
Na4 Na 0.500 0.000 0.750
Pu1 Pu 0.000 0.000 0.000
Pu2 Pu 0.500 0.500 0.500
As1 As 0.000 0.000 0.142
As2 As 0.000 0.000 0.858
As3 As 0.500 0.500 0.358
As4 As 0.500 0.500 0.642
Pt1 Pt 0.000 0.000 0.500
Pt2 Pt 0.500 0.500 0.000
```

No. 5
Computed powder X-ray diffraction pattern of RbNa4As4 for Cu Kα X-rays, from a DFT-relaxed cell (PBE, Alexandria).

Principal peaks in the range 2θ from 10° to 90°, in order of falling intensity:
2theta, d [Å], I (rel.)
28.99, 3.080, 100
25.56, 3.486, 81
19.99, 4.442, 78
41.71, 2.165, 66
32.15, 2.784, 40
25.87, 3.444, 40
45.86, 1.979, 33
41.25, 2.189, 32

```
data_RbNa4As4
_cell_length_a 9.741
_cell_length_b 9.741
_cell_length_c 5.811
_cell_angle_alpha 90.00
_cell_angle_beta 90.00
_cell_angle_gamma 90.00
_symmetry_space_group_name_H-M 'P 1'
_symmetry_Int_Tables_number 1
_symmetry_space_group_name_Hall 'P 1'
loop_
_atom_site_label
_atom_site_type_symbol
_atom_site_fract_x
_atom_site_fract_y
_atom_site_fract_z
Rb1 Rb 0.250 0.250 0.250
Rb2 Rb 0.750 0.750 0.750
Na1 Na 0.118 0.879 0.613
Na2 Na 0.121 0.618 0.113
Na3 Na 0.379 0.882 0.113
Na4 Na 0.382 0.621 0.613
Na5 Na 0.618 0.379 0.387
Na6 Na 0.621 0.118 0.887
Na7 Na 0.879 0.382 0.887
Na8 Na 0.882 0.121 0.387
As1 As 0.053 0.916 0.116
As2 As 0.084 0.553 0.616
As3 As 0.416 0.947 0.616
As4 As 0.447 0.584 0.116
As5 As 0.553 0.416 0.884
As6 As 0.584 0.053 0.384
As7 As 0.916 0.447 0.384
As8 As 0.947 0.084 0.884
```

No. 6
Computed powder X-ray diffraction pattern of Rb3Na2As4 for Cu Kα X-rays, from a DFT-relaxed cell (PBE, Alexandria).

Principal peaks in the range 2θ from 10° to 90°, in order of falling intensity:
2theta, d [Å], I (rel.)
28.90, 3.089, 100
20.53, 4.326, 70
32.08, 2.790, 66
21.88, 4.062, 41
28.16, 3.169, 36
33.95, 2.640, 29
33.64, 2.664, 25
30.62, 2.920, 18

```
data_Rb3Na2As4
_cell_length_a 5.323
_cell_length_b 6.787
_cell_length_c 9.761
_cell_angle_alpha 99.00
_cell_angle_beta 96.99
_cell_angle_gamma 109.85
_symmetry_space_group_name_H-M 'P 1'
_symmetry_Int_Tables_number 1
_symmetry_space_group_name_Hall 'P 1'
loop_
_atom_site_label
_atom_site_type_symbol
_atom_site_fract_x
_atom_site_fract_y
_atom_site_fract_z
Rb1 Rb 0.000 0.000 0.000
Rb2 Rb 0.366 0.771 0.596
Rb3 Rb 0.634 0.229 0.404
Na1 Na 0.232 0.633 0.189
Na2 Na 0.768 0.367 0.811
As1 As 0.187 0.249 0.697
As2 As 0.376 0.555 0.904
As3 As 0.624 0.445 0.096
As4 As 0.813 0.751 0.303
```

No. 7
Computed powder X-ray diffraction pattern of RbNa3As for Cu Kα X-rays, from a DFT-relaxed cell (PBE, Alexandria).

Principal peaks in the range 2θ from 10° to 90°, in order of falling intensity:
2theta, d [Å], I (rel.)
21.84, 4.069, 100
26.05, 3.420, 58
21.04, 4.222, 40
31.19, 2.868, 37
34.79, 2.579, 32
34.30, 2.615, 28
30.97, 2.887, 26
37.36, 2.407, 25

```
data_RbNa3As
_cell_length_a 8.147
_cell_length_b 8.147
_cell_length_c 8.147
_cell_angle_alpha 117.57
_cell_angle_beta 90.51
_cell_angle_gamma 121.89
_symmetry_space_group_name_H-M 'P 1'
_symmetry_Int_Tables_number 1
_symmetry_space_group_name_Hall 'P 1'
loop_
_atom_site_label
_atom_site_type_symbol
_atom_site_fract_x
_atom_site_fract_y
_atom_site_fract_z
Rb1 Rb 0.382 0.132 0.250
Rb2 Rb 0.618 0.868 0.750
Na1 Na 0.161 0.411 0.750
Na2 Na 0.214 0.000 0.714
Na3 Na 0.214 0.500 0.214
Na4 Na 0.786 0.000 0.286
Na5 Na 0.786 0.500 0.786
Na6 Na 0.839 0.589 0.250
As1 As 0.000 0.500 0.500
As2 As 0.500 0.500 0.000
```

No. 8
Computed powder X-ray diffraction pattern of RbNa2AsS4 for Cu Kα X-rays, from a DFT-relaxed cell (PBE, Alexandria).

Principal peaks in the range 2θ from 10° to 90°, in order of falling intensity:
2theta, d [Å], I (rel.)
27.13, 3.287, 100
17.40, 5.096, 54
45.02, 2.014, 46
35.22, 2.548, 32
49.34, 1.847, 27
32.41, 2.762, 21
29.60, 3.018, 20
24.71, 3.603, 19

```
data_RbNa2AsS4
_cell_length_a 7.207
_cell_length_b 7.207
_cell_length_c 8.605
_cell_angle_alpha 90.00
_cell_angle_beta 90.00
_cell_angle_gamma 90.00
_symmetry_space_group_name_H-M 'P 1'
_symmetry_Int_Tables_number 1
_symmetry_space_group_name_Hall 'P 1'
loop_
_atom_site_label
_atom_site_type_symbol
_atom_site_fract_x
_atom_site_fract_y
_atom_site_fract_z
Rb1 Rb 0.000 0.000 0.000
Rb2 Rb 0.500 0.500 0.500
Na1 Na 0.000 0.500 0.250
Na2 Na 0.000 0.500 0.750
Na3 Na 0.500 0.000 0.250
Na4 Na 0.500 0.000 0.750
As1 As 0.000 0.000 0.500
As2 As 0.500 0.500 0.000
S1 S 0.178 0.178 0.644
S2 S 0.178 0.822 0.356
S3 S 0.322 0.322 0.144
S4 S 0.322 0.678 0.856
S5 S 0.678 0.322 0.856
S6 S 0.678 0.678 0.144
S7 S 0.822 0.178 0.356
S8 S 0.822 0.822 0.644
```